Simulated powder X-ray diffraction pattern
Compound: Hf4Ga5Ni3
Radiation: a wavelength of 1.5418 Å
Structure: the GGA-PBE geometry in the Materials Project

Crystal structure
```
data_Hf4Ga5Ni3
_symmetry_space_group_name_H-M 'P 1'
_symmetry_Int_Tables_number 1
_symmetry_space_group_name_Hall 'P 1'
_cell_length_a 6.372
_cell_length_b 7.631
_cell_length_c 13.668
_cell_angle_alpha 93.80
_cell_angle_beta 103.20
_cell_angle_gamma 114.47
loop_
_atom_site_label
_atom_site_type_symbol
_atom_site_fract_x
_atom_site_fract_y
_atom_site_fract_z
Hf1 Hf 0.000 0.000 0.000
Hf2 Hf 0.000 0.497 0.497
Hf3 Hf 0.429 0.441 0.146
Hf4 Hf 0.430 0.929 0.639
Hf5 Hf 0.432 0.666 0.886
Hf6 Hf 0.433 0.154 0.391
Hf7 Hf 0.847 0.813 0.599
Hf8 Hf 0.851 0.313 0.106
Hf9 Hf 0.877 0.581 0.861
Hf10 Hf 0.884 0.078 0.364
Hf11 Hf 0.996 0.745 0.249
Hf12 Hf 0.999 0.249 0.746
Ga1 Ga 0.091 0.372 0.958
Ga2 Ga 0.094 0.616 0.701
Ga3 Ga 0.098 0.866 0.457
Ga4 Ga 0.100 0.118 0.206
Ga5 Ga 0.207 0.946 0.809
Ga6 Ga 0.210 0.460 0.316
Ga7 Ga 0.436 0.972 0.004
Ga8 Ga 0.438 0.483 0.501
Ga9 Ga 0.451 0.301 0.938
Ga10 Ga 0.458 0.783 0.253
Ga11 Ga 0.460 0.274 0.742
Ga12 Ga 0.750 0.370 0.290
Ga13 Ga 0.759 0.877 0.789
Ga14 Ga 0.773 0.124 0.542
Ga15 Ga 0.777 0.634 0.045
Ni1 Ni 0.194 0.683 0.071
Ni2 Ni 0.198 0.185 0.566
Ni3 Ni 0.436 0.064 0.179
Ni4 Ni 0.437 0.562 0.682
Ni5 Ni 0.439 0.800 0.438
Ni6 Ni 0.670 0.124 0.874
Ni7 Ni 0.675 0.626 0.373
Ni8 Ni 0.682 0.372 0.620
Ni9 Ni 0.683 0.874 0.126
```

Main lines, low angle first (10° ≤ 2θ ≤ 90°):
| 2θ/deg | Rel. int. | h k l |
| --- | --- | --- |
| 22.1 | 24 | 0 1 -3 |
| 35.5 | 23 | 1 2 -2 |
| 35.5 | 47 | 1 -3 1 |
| 35.7 | 24 | -1 1 5 |
| 36.0 | 53 | 2 0 -4 |
| 38.9 | 36 | 0 3 -1 |
| 39.0 | 37 | 0 1 5 |
| 39.4 | 100 | 2 -1 3 |
| 39.6 | 32 | -2 1 5 |
| 45.1 | 53 | 0 2 -6 |

=====

Simulated powder X-ray diffraction pattern
Compound: HfGa2Ni
Radiation: a wavelength of 1.5418 Å
Structure: the GGA-PBE geometry in the Materials Project

Crystal structure
```
data_HfGa2Ni
_symmetry_space_group_name_H-M 'I 4 m m'
_symmetry_Int_Tables_number 107
_symmetry_space_group_name_Hall 'I 4 -2'
_cell_length_a 12.308
_cell_length_b 12.308
_cell_length_c 8.106
_cell_angle_alpha 90.00
_cell_angle_beta 90.00
_cell_angle_gamma 90.00
loop_
_atom_site_label
_atom_site_type_symbol
_atom_site_fract_x
_atom_site_fract_y
_atom_site_fract_z
Hf1 Hf 0.000 0.000 0.000
Hf2 Hf 0.000 0.000 0.443
Hf3 Hf 0.000 0.286 0.062
Hf4 Hf 0.203 0.203 0.570
Ga1 Ga 0.000 0.159 0.730
Ga2 Ga 0.000 0.382 0.583
Ga3 Ga 0.132 0.132 0.221
Ga4 Ga 0.142 0.351 0.318
Ni1 Ni 0.000 0.216 0.419
Ni2 Ni 0.000 0.500 0.335
Ni3 Ni 0.162 0.162 0.908
```

Main lines, low angle first (10° ≤ 2θ ≤ 90°):
| 2θ/deg | Rel. int. | h k l |
| --- | --- | --- |
| 24.3 | 18 | 3 0 1 |
| 36.7 | 37 | 4 0 2 |
| 38.2 | 100 | 3 3 2 |
| 39.6 | 14 | 4 2 2 |
| 40.0 | 31 | 3 0 3 |
| 41.5 | 13 | 4 4 0 |
| 42.7 | 20 | 3 2 3 |
| 44.1 | 21 | 6 0 0 |
| 45.3 | 12 | 4 1 3 |
| 61.8 | 12 | 7 3 2 |

=====

Simulated powder X-ray diffraction pattern
Compound: HfGaNi
Radiation: a wavelength of 1.5418 Å
Structure: the GGA-PBE geometry in the Materials Project

Crystal structure
```
data_HfGaNi
_symmetry_space_group_name_H-M 'P -6 2 m'
_symmetry_Int_Tables_number 189
_symmetry_space_group_name_Hall 'P -6 -2'
_cell_length_a 6.8404
_cell_length_b 6.8404
_cell_length_c 3.4235
_cell_angle_alpha 90.00
_cell_angle_beta 90.00
_cell_angle_gamma 120.00
loop_
_atom_site_label
_atom_site_type_symbol
_atom_site_fract_x
_atom_site_fract_y
_atom_site_fract_z
Hf1 Hf 0.0000 0.5976 0.0000
Ga1 Ga 0.0000 0.2602 0.5000
Ni1 Ni 0.0000 0.0000 0.0000
Ni2 Ni 0.3333 0.6667 0.5000
```

Main lines, low angle first (10° ≤ 2θ ≤ 90°):
| 2θ/deg | Rel. int. | h k l |
| --- | --- | --- |
| 26.0 | 30 | 0 0 1 |
| 37.2 | 100 | 1 1 1 |
| 40.3 | 99 | 2 0 1 |
| 46.0 | 27 | 3 0 0 |
| 53.5 | 20 | 0 0 2 |
| 56.0 | 18 | 3 1 0 |
| 62.7 | 27 | 3 1 1 |
| 69.1 | 20 | 2 1 2 |
| 75.2 | 21 | 3 2 1 |
| 81.2 | 17 | 5 0 0 |